# 1
Diffraction record for NaSr2NdTi4O12. The powder diffractogram is simulated, not measured: it uses a cell relaxed with PBE and λ = 1.5418 Å (Cu Kα).
Kinematic intensities with the Lorentz-polarization factor, no thermal factor.

Structural model:
Cell: 5.5036 5.5036 7.8921 Å, 90.00 90.00 90.00°
Space group P-42m (No. 111)
Symmetry-distinct sites (fractional):
Na (0.0000, 0.0000, 0.0000) x1
Sr (0.0000, 0.0000, 0.5000) x1
Sr (0.5000, 0.5000, 0.5000) x1
Nd (0.5000, 0.5000, 0.0000) x1
Ti (0.0000, 0.5000, 0.2465) x4
O (0.0000, 0.5000, 0.0000) x2
O (0.0000, 0.5000, 0.5000) x2
O (0.2154, 0.2154, 0.7507) x4
O (0.2962, 0.2962, 0.2404) x4

Largest 10 diffraction maxima, by angle, 2θ = 10–80°:
(1 0 0), 16.10 deg, intensity 20; (1 0 1), 19.67 deg, intensity 24; (1 1 2), 32.31 deg, intensity 100; (2 0 0), 32.54 deg, intensity 55; (2 0 2), 39.94 deg, intensity 29; (0 0 4), 46.00 deg, intensity 22; (2 2 0), 46.68 deg, intensity 39; (2 0 4), 57.47 deg, intensity 21; (3 1 2), 57.91 deg, intensity 42; (2 2 4), 67.62 deg, intensity 23

# 2
Diffraction record for La3YSn4. The powder diffractogram is simulated, not measured: it uses a cell relaxed with PBE and λ = 1.5418 Å (Cu Kα).
Kinematic intensities with the Lorentz-polarization factor, no thermal factor.

Structural model:
Cell: 4.1645 7.1876 17.7962 Å, 90.00 90.00 90.00°
Space group Immm (No. 71)
Symmetry-distinct sites (fractional):
La (0.0000, 0.0000, 0.0000) x2
La (0.0000, 0.5000, 0.2045) x4
Y (0.0000, 0.0000, 0.5000) x2
Sn (0.0000, 0.2948, 0.3730) x8

Largest 10 diffraction maxima, by angle, 2θ = 10–80°:
(1 1 2), 26.69 deg, intensity 99; (0 2 4), 32.00 deg, intensity 100; (1 0 5), 33.11 deg, intensity 54; (1 2 1), 33.31 deg, intensity 44; (1 2 3), 36.33 deg, intensity 44; (0 0 8), 40.59 deg, intensity 31; (1 0 7), 41.62 deg, intensity 24; (2 0 0), 43.46 deg, intensity 31; (2 2 4), 54.99 deg, intensity 36; (1 3 8), 61.01 deg, intensity 47

Copy entry 1 word for word.
Diffraction record for NaSr2NdTi4O12. The powder diffractogram is simulated, not measured: it uses a cell relaxed with PBE and λ = 1.5418 Å (Cu Kα).
Kinematic intensities with the Lorentz-polarization factor, no thermal factor.

Structural model:
Cell: 5.5036 5.5036 7.8921 Å, 90.00 90.00 90.00°
Space group P-42m (No. 111)
Symmetry-distinct sites (fractional):
Na (0.0000, 0.0000, 0.0000) x1
Sr (0.0000, 0.0000, 0.5000) x1
Sr (0.5000, 0.5000, 0.5000) x1
Nd (0.5000, 0.5000, 0.0000) x1
Ti (0.0000, 0.5000, 0.2465) x4
O (0.0000, 0.5000, 0.0000) x2
O (0.0000, 0.5000, 0.5000) x2
O (0.2154, 0.2154, 0.7507) x4
O (0.2962, 0.2962, 0.2404) x4

Largest 10 diffraction maxima, by angle, 2θ = 10–80°:
(1 0 0), 16.10 deg, intensity 20; (1 0 1), 19.67 deg, intensity 24; (1 1 2), 32.31 deg, intensity 100; (2 0 0), 32.54 deg, intensity 55; (2 0 2), 39.94 deg, intensity 29; (0 0 4), 46.00 deg, intensity 22; (2 2 0), 46.68 deg, intensity 39; (2 0 4), 57.47 deg, intensity 21; (3 1 2), 57.91 deg, intensity 42; (2 2 4), 67.62 deg, intensity 23

Copy entry 2 word for word.
Diffraction record for La3YSn4. The powder diffractogram is simulated, not measured: it uses a cell relaxed with PBE and λ = 1.5418 Å (Cu Kα).
Kinematic intensities with the Lorentz-polarization factor, no thermal factor.

Structural model:
Cell: 4.1645 7.1876 17.7962 Å, 90.00 90.00 90.00°
Space group Immm (No. 71)
Symmetry-distinct sites (fractional):
La (0.0000, 0.0000, 0.0000) x2
La (0.0000, 0.5000, 0.2045) x4
Y (0.0000, 0.0000, 0.5000) x2
Sn (0.0000, 0.2948, 0.3730) x8

Largest 10 diffraction maxima, by angle, 2θ = 10–80°:
(1 1 2), 26.69 deg, intensity 99; (0 2 4), 32.00 deg, intensity 100; (1 0 5), 33.11 deg, intensity 54; (1 2 1), 33.31 deg, intensity 44; (1 2 3), 36.33 deg, intensity 44; (0 0 8), 40.59 deg, intensity 31; (1 0 7), 41.62 deg, intensity 24; (2 0 0), 43.46 deg, intensity 31; (2 2 4), 54.99 deg, intensity 36; (1 3 8), 61.01 deg, intensity 47